1.
This entry pairs a crystal structure of PrH3CSO7 with its computed powder XRD pattern. Radiation: copper Kα. Structure: a DFT-relaxed cell (PBE, OQMD).
Intensities are scaled so that the largest is 100.

The 10 most intense peaks (10° ≤ 2θ ≤ 90°), sorted by position:
5.942 Å, I 100; 4.898 Å, I 26; 4.439 Å, I 74; 3.368 Å, I 31; 3.318 Å, I 79; 3.098 Å, I 43; 2.992 Å, I 24; 2.576 Å, I 42; 2.255 Å, I 27; 2.114 Å, I 44

```
PrH3CSO7
1.0
6.9263 0.0000 0.0000
0.0000 6.9263 0.0000
0.0000 0.0000 11.5644
Pr H C S O
4 12 4 4 28
Cartesian
0.8265 4.3841 0.0000
2.5422 0.8265 8.6733
4.3841 6.0998 2.8911
6.0998 2.5422 5.7822
0.1005 1.0127 0.4801
1.0127 6.8259 3.3712
1.2137 2.7324 2.6642
2.6319 3.1091 2.0930
2.7324 5.7127 5.5553
3.1091 4.2944 4.9841
3.8173 2.6319 10.7663
4.1940 1.2137 11.3375
4.2944 3.8173 7.8752
5.7127 4.1940 8.4464
5.9137 0.1005 9.1534
6.8259 5.9137 6.2623
0.7344 0.9726 11.1454
0.9726 6.1920 2.4722
5.9538 0.7344 8.2543
6.1920 5.9538 5.3632
1.7009 4.2820 7.9328
2.6444 1.7009 5.0418
4.2820 5.2255 10.8239
5.2255 2.6444 2.1507
0.1606 1.1056 7.8005
0.8450 4.5005 9.1133
0.8935 3.7973 6.8068
1.0599 2.0503 10.5603
1.1056 6.7658 10.6916
1.3765 2.3332 4.6252
1.6905 2.9358 1.8283
2.0503 5.8664 1.8870
2.3332 5.5498 7.5163
2.4259 0.8450 6.2222
2.7491 3.2606 8.2553
2.9358 5.2359 4.7194
3.1290 0.8935 3.9157
3.2606 4.1772 11.1464
3.6657 2.7491 5.3642
3.7973 6.0328 9.6979
3.9905 1.6905 10.5016
4.1772 3.6657 2.4731
4.5005 6.0813 0.4400
4.5931 1.3765 1.7341
4.8760 1.0599 7.6692
5.2359 3.9905 7.6105
5.5498 4.5931 10.4074
5.8208 0.1606 4.9094
5.8664 4.8760 4.7781
6.0328 3.1290 1.0246
6.0813 2.4259 3.3311
6.7658 5.8208 2.0183
```


2.
This entry pairs a crystal structure of SmH7C8SO9 with its computed powder XRD pattern. Radiation: copper Kα. Structure: a DFT-relaxed cell (PBE, OQMD).
Intensities are scaled so that the largest is 100.

The 10 most intense peaks (10° ≤ 2θ ≤ 90°), sorted by position:
6.703 Å, I 22; 5.876 Å, I 83; 5.701 Å, I 61; 5.567 Å, I 28; 4.764 Å, I 77; 4.301 Å, I 25; 4.095 Å, I 100; 2.952 Å, I 50; 2.844 Å, I 25; 2.477 Å, I 26

```
SmH7C8SO9
1.0
6.2781 0.0000 0.0000
-2.6478 8.2167 0.0000
-1.7469 -0.8451 10.3966
Sm H C S O
2 14 16 2 18
Cartesian
0.1161 1.8661 1.1505
1.7673 5.5054 9.2461
-0.2408 0.7740 5.7675
-0.7000 7.7171 1.1704
-0.9463 4.6566 8.1626
-0.5146 4.7979 6.0541
0.2529 4.5330 3.7054
-0.2067 3.3800 8.7886
-0.9737 6.7740 8.5025
2.8571 0.5975 1.8941
2.0900 3.9915 1.6080
1.6305 2.8385 6.6912
2.3980 2.5736 4.3425
2.8297 2.7149 2.2341
2.5834 -0.3455 9.2262
2.1242 6.5976 4.6291
-1.6987 1.2649 7.2745
-3.0292 5.7358 6.8238
-1.2320 1.1755 5.9710
-2.3900 5.7195 5.4846
-1.4670 5.4806 2.8456
-0.9649 5.2326 1.4539
-1.1325 5.1603 5.2345
-0.6987 5.0176 3.9212
2.5821 2.3539 6.4754
3.0159 2.2113 5.1621
2.8483 2.1389 8.9427
3.3503 1.8909 7.5510
4.2734 1.6521 4.9120
3.1154 6.1960 4.4256
4.9126 1.6357 3.5728
3.5821 6.1066 3.1221
-0.5397 0.7365 8.5169
2.4231 6.6351 1.8797
-1.0927 -0.4119 9.2819
-2.3572 5.5010 7.8988
-1.0852 6.1514 0.5749
-0.1131 1.4166 3.5069
-0.4409 4.1117 1.2331
-0.4506 1.8618 9.4898
0.6859 0.4280 7.8205
2.0156 0.4621 1.4121
-0.0532 4.2303 8.3011
1.9365 3.1412 2.0955
-0.1322 6.9095 8.9845
1.1975 6.9435 2.5761
2.3339 5.5097 0.9068
2.3243 3.2598 9.1635
1.9965 5.9550 6.8897
2.9686 1.2201 9.8217
4.2406 1.8706 2.4978
2.9761 7.7834 1.1147
```


3.
This entry pairs a crystal structure of TmH7C8SO9 with its computed powder XRD pattern. Radiation: copper Kα. Structure: a DFT-relaxed cell (PBE, OQMD).
Intensities are scaled so that the largest is 100.

The 10 most intense peaks (10° ≤ 2θ ≤ 90°), sorted by position:
6.561 Å, I 32; 5.810 Å, I 87; 5.635 Å, I 71; 5.524 Å, I 43; 4.688 Å, I 92; 4.271 Å, I 29; 4.075 Å, I 30; 4.012 Å, I 100; 2.899 Å, I 53; 2.068 Å, I 40

```
TmH7C8SO9
1.0
6.2245 0.0000 0.0000
-2.6348 8.0451 0.0000
-1.8312 -0.7455 10.2877
Tm H C S O
2 14 16 2 18
Cartesian
0.0948 1.9255 1.2063
1.6636 5.3742 9.0813
-0.2621 0.8193 5.7134
-0.8227 7.6377 1.1336
-1.0044 4.5509 8.1011
-0.5450 4.7139 5.9985
0.2328 4.4869 3.6498
-0.2660 3.2964 8.7671
-0.9987 6.6378 8.4453
2.7571 0.6619 1.8424
2.0244 4.0033 1.5206
1.5256 2.8127 6.6379
2.3034 2.5858 4.2892
2.7628 2.7487 2.1866
2.5811 -0.3380 9.1541
2.0206 6.4804 4.5743
-3.0903 5.5588 6.7565
-1.7325 1.2693 7.2159
-1.2571 1.2068 5.9148
-2.4388 5.6039 5.4275
-1.4996 5.4162 2.7955
-1.0060 5.1733 1.4014
-1.1666 5.0770 5.1811
-0.7248 4.9584 3.8689
2.4832 2.3412 6.4188
2.9251 2.2227 5.1065
2.7644 2.1264 8.8863
3.2580 1.8835 7.4921
4.1973 1.6958 4.8602
3.0156 6.0929 4.3728
3.4909 6.0303 3.0718
4.8488 1.7409 3.5312
-0.6030 0.6886 8.4609
2.3614 6.6110 1.8267
-1.1536 -0.5145 9.1097
-2.4291 5.3334 7.8363
-1.1824 6.0737 0.5129
-0.1122 1.5807 3.4682
-0.4404 4.0726 1.1779
-0.5483 1.7658 9.4912
1.8858 0.5430 1.4150
0.6507 0.4554 7.7823
-0.1111 4.1292 8.2543
1.8695 3.1704 2.0334
1.1077 6.8443 2.5054
-0.1273 6.7567 8.8726
2.3068 5.5338 0.7965
2.1988 3.2270 9.1098
1.8706 5.7189 6.8194
2.9408 1.2259 9.7748
4.1876 1.9663 2.4513
2.9120 7.8142 1.1779
```


4.
This entry pairs a crystal structure of ZnH6C2S2O6 with its computed powder XRD pattern. Radiation: copper Kα. Structure: a DFT-relaxed cell (PBE, OQMD).
Intensities are scaled so that the largest is 100.

The 10 most intense peaks (10° ≤ 2θ ≤ 90°), sorted by position:
5.980 Å, I 57; 5.907 Å, I 100; 4.388 Å, I 76; 3.630 Å, I 28; 3.566 Å, I 28; 3.164 Å, I 26; 2.761 Å, I 18; 2.740 Å, I 22; 2.583 Å, I 18; 2.513 Å, I 19

```
ZnH6C2S2O6
1.0
4.0398 -5.2706 0.0000
4.0398 5.2706 0.0000
-3.8649 0.0000 7.9182
Zn H C S O
2 12 4 4 12
Cartesian
2.1073 3.7301 3.9591
4.0398 -3.7301 0.0000
2.1567 3.1860 1.4077
4.2990 3.5252 0.6253
4.9212 2.7060 2.1131
3.9824 0.6076 1.2635
3.2185 0.6064 2.8911
2.0499 -0.6076 5.2226
1.2860 -0.6064 6.8502
0.2242 -3.1860 5.3668
6.0325 0.5132 2.2809
2.3666 -3.5252 4.5845
4.1001 -0.5132 6.2400
2.9888 -2.7060 6.0722
4.1714 3.3948 1.7044
4.0308 0.1969 2.2784
2.0983 -0.1969 6.2375
2.2389 -3.3948 5.6635
-1.4675 0.2410 6.4813
0.4650 -0.2410 2.5222
1.7355 1.6068 6.0854
3.6680 -1.6068 2.1263
1.5474 4.6195 5.7202
-2.0679 0.5234 7.8625
2.8861 2.9646 2.0673
-0.1354 -0.5234 3.9034
2.6837 1.9740 4.8945
2.3454 2.1255 7.3928
0.9536 -2.9646 6.0264
5.2574 0.4080 2.9221
4.6162 -1.9740 0.9354
3.3249 -0.4080 6.8812
4.2778 -2.1255 3.4337
3.4799 -4.6195 1.7610
```